Calculated X-ray powder pattern
Compound: PmRe2O8
Radiation: copper Kα
Structure: a DFT-relaxed cell (PBE, Alexandria)

```
data_PmRe2O8
_chemical_formula_sum 'Pm4 Re8 O32'
_cell_length_a 9.725
_cell_length_b 9.725
_cell_length_c 9.725
_cell_angle_alpha 90.00
_cell_angle_beta 90.00
_cell_angle_gamma 90.00
_space_group_name_H-M_alt 'F m -3 m'
_space_group_IT_number 225
_space_group_name_Hall '-F 4 2 3'
loop_
_atom_site_label
_atom_site_fract_x
_atom_site_fract_y
_atom_site_fract_z
_atom_site_occupancy
Pm1 0.000 0.000 0.000 1
Re1 0.250 0.250 0.250 1
O1 0.145 0.145 0.145 1
```

Main lines, sorted by position (10 to 90 degrees two-theta):
(1 1 1), 15.78°, I = 26.2
(2 0 0), 18.25°, I = 27.5
(2 2 0), 25.91°, I = 100.0
(4 2 2), 45.70°, I = 41.4
(4 4 0), 53.29°, I = 18.5
(6 2 0), 60.18°, I = 17.6
(6 4 2), 72.77°, I = 22.7
(6 6 0), 84.54°, I = 11.8

---

Calculated X-ray powder pattern
Compound: PmTlReO6
Radiation: copper Kα
Structure: a DFT-relaxed cell (PBE, Alexandria)

```
data_PmTlReO6
_chemical_formula_sum 'Pm2 Tl2 Re2 O12'
_cell_length_a 5.711
_cell_length_b 9.937
_cell_length_c 4.962
_cell_angle_alpha 90.00
_cell_angle_beta 90.56
_cell_angle_gamma 90.00
_space_group_name_H-M_alt 'C 1 2 1'
_space_group_IT_number 5
_space_group_name_Hall 'C 2y'
loop_
_atom_site_label
_atom_site_fract_x
_atom_site_fract_y
_atom_site_fract_z
_atom_site_occupancy
Pm1 0.000 0.000 0.000 1
Tl1 0.000 0.332 0.500 1
Re1 0.000 0.666 0.000 1
O1 0.132 0.808 0.217 1
O2 0.147 0.533 0.218 1
O3 0.226 0.162 0.216 1
```

Main lines, sorted by position (10 to 90 degrees two-theta):
(0 2 1), 25.34°, I = 100.0
(1 1 1), 25.52°, I = 48.9
(1 3 0), 31.22°, I = 51.3
(2 0 0), 31.33°, I = 25.1
(0 0 2), 36.20°, I = 17.5
(0 4 1), 40.60°, I = 28.1
(2 0 -2), 48.40°, I = 30.0
(1 3 2), 48.67°, I = 22.3